[1]
# Y2CoH6Pd
Calculated powder X-ray diffraction pattern, CuKα. Input: the PBE geometry in OQMD.
Peak positions follow from Bragg's law for the DFT cell and can differ from measured ones.

Principal peaks in the range 2θ from 15° to 90°, sorted by position:
| 2θ (°) | I/Imax |
| --- | --- |
| 21.4 | 4 |
| 35.3 | 100 |
| 41.6 | 2 |
| 50.7 | 18 |
| 55.6 | 1 |
| 63.3 | 35 |
| 67.6 | 1 |
| 74.6 | 11 |
| 78.6 | 1 |
| 85.3 | 15 |

Crystal structure
```
data_Y2CoH6Pd
_symmetry_space_group_name_H-M 'P 1'
_symmetry_Int_Tables_number 1
_cell_length_a 5.091
_cell_length_b 5.091
_cell_length_c 5.091
_cell_angle_alpha 60.00
_cell_angle_beta 60.00
_cell_angle_gamma 60.00
loop_
_symmetry_equiv_pos_as_xyz
'x,y,z'
loop_
_atom_site_label
_atom_site_fract_x
_atom_site_fract_y
_atom_site_fract_z
_atom_site_occupancy
Y1 0.250 0.250 0.250 1
Y2 0.750 0.750 0.750 1
Co1 0.000 0.000 0.000 1
H1 0.231 0.231 0.769 1
H2 0.231 0.769 0.231 1
H3 0.231 0.769 0.769 1
H4 0.769 0.231 0.231 1
H5 0.769 0.231 0.769 1
H6 0.769 0.769 0.231 1
Pd1 0.500 0.500 0.500 1
```

=====

[2]
# PrCo5H4
Calculated powder X-ray diffraction pattern, CuKα. Input: the PBE geometry in OQMD.
Peak positions follow from Bragg's law for the DFT cell and can differ from measured ones.

Principal peaks in the range 2θ from 15° to 90°, sorted by position:
| 2θ (°) | I/Imax |
| --- | --- |
| 29.6 | 38 |
| 30.2 | 43 |
| 33.3 | 20 |
| 34.9 | 28 |
| 39.3 | 61 |
| 40.4 | 60 |
| 41.7 | 100 |
| 45.3 | 42 |
| 60.0 | 22 |
| 61.5 | 31 |
| 65.3 | 25 |
| 73.7 | 13 |

Crystal structure
```
data_PrCo5H4
_symmetry_space_group_name_H-M 'P 1'
_symmetry_Int_Tables_number 1
_cell_length_a 5.150
_cell_length_b 5.150
_cell_length_c 4.005
_cell_angle_alpha 90.00
_cell_angle_beta 90.00
_cell_angle_gamma 116.99
loop_
_symmetry_equiv_pos_as_xyz
'x,y,z'
loop_
_atom_site_label
_atom_site_fract_x
_atom_site_fract_y
_atom_site_fract_z
_atom_site_occupancy
Pr1 0.000 0.000 0.000 1
Co1 0.000 0.500 0.500 1
Co2 0.364 0.636 0.000 1
Co3 0.500 0.000 0.500 1
Co4 0.500 0.500 0.500 1
Co5 0.636 0.364 0.000 1
H1 0.000 0.500 0.000 1
H2 0.144 0.856 0.500 1
H3 0.500 0.000 0.000 1
H4 0.856 0.144 0.500 1
```

=====

[3]
# Hf6Co23
Calculated powder X-ray diffraction pattern, CuKα. Input: the PBE geometry in OQMD.
Peak positions follow from Bragg's law for the DFT cell and can differ from measured ones.

Principal peaks in the range 2θ from 15° to 90°, sorted by position:
| 2θ (°) | I/Imax |
| --- | --- |
| 27.2 | 30 |
| 31.5 | 21 |
| 34.4 | 22 |
| 38.8 | 32 |
| 41.2 | 87 |
| 45.1 | 100 |
| 48.0 | 15 |
| 57.9 | 15 |
| 62.7 | 15 |
| 67.4 | 17 |
| 70.2 | 21 |
| 89.0 | 20 |

Crystal structure
```
data_Hf6Co23
_symmetry_space_group_name_H-M 'P 1'
_symmetry_Int_Tables_number 1
_cell_length_a 8.043
_cell_length_b 8.043
_cell_length_c 8.043
_cell_angle_alpha 60.00
_cell_angle_beta 60.00
_cell_angle_gamma 60.00
loop_
_symmetry_equiv_pos_as_xyz
'x,y,z'
loop_
_atom_site_label
_atom_site_fract_x
_atom_site_fract_y
_atom_site_fract_z
_atom_site_occupancy
Hf1 0.210 0.210 0.790 1
Hf2 0.210 0.790 0.210 1
Hf3 0.210 0.790 0.790 1
Hf4 0.790 0.210 0.210 1
Hf5 0.790 0.210 0.790 1
Hf6 0.790 0.790 0.210 1
Co1 0.000 0.000 0.500 1
Co2 0.000 0.500 0.000 1
Co3 0.000 0.500 0.500 1
Co4 0.138 0.621 0.621 1
Co5 0.174 0.174 0.174 1
Co6 0.174 0.174 0.478 1
Co7 0.174 0.478 0.174 1
Co8 0.379 0.379 0.379 1
Co9 0.379 0.379 0.862 1
Co10 0.379 0.862 0.379 1
Co11 0.478 0.174 0.174 1
Co12 0.500 0.000 0.000 1
Co13 0.500 0.000 0.500 1
Co14 0.500 0.500 0.000 1
Co15 0.500 0.500 0.500 1
Co16 0.522 0.826 0.826 1
Co17 0.621 0.138 0.621 1
Co18 0.621 0.621 0.138 1
Co19 0.621 0.621 0.621 1
Co20 0.826 0.522 0.826 1
Co21 0.826 0.826 0.522 1
Co22 0.826 0.826 0.826 1
Co23 0.862 0.379 0.379 1
```

=====

[4]
# Hf3Co2Mo2
Calculated powder X-ray diffraction pattern, CuKα. Input: the PBE geometry in OQMD.
Peak positions follow from Bragg's law for the DFT cell and can differ from measured ones.

Principal peaks in the range 2θ from 15° to 90°, sorted by position:
| 2θ (°) | I/Imax |
| --- | --- |
| 23.4 | 17 |
| 24.5 | 19 |
| 28.4 | 15 |
| 31.1 | 15 |
| 40.4 | 100 |
| 40.9 | 94 |
| 58.8 | 32 |
| 73.4 | 17 |
| 73.8 | 32 |
| 74.8 | 15 |
| 87.3 | 11 |
| 88.6 | 10 |

Crystal structure
```
data_Hf3Co2Mo2
_symmetry_space_group_name_H-M 'P 1'
_symmetry_Int_Tables_number 1
_cell_length_a 7.615
_cell_length_b 7.615
_cell_length_c 7.615
_cell_angle_alpha 34.11
_cell_angle_beta 34.11
_cell_angle_gamma 34.11
loop_
_symmetry_equiv_pos_as_xyz
'x,y,z'
loop_
_atom_site_label
_atom_site_fract_x
_atom_site_fract_y
_atom_site_fract_z
_atom_site_occupancy
Hf1 0.000 0.000 0.000 1
Hf2 0.248 0.248 0.248 1
Hf3 0.496 0.496 0.496 1
Co1 0.117 0.117 0.117 1
Co2 0.622 0.622 0.622 1
Mo1 0.377 0.377 0.377 1
Mo2 0.865 0.865 0.865 1
```

=====

[5]
# Hf2CoN
Calculated powder X-ray diffraction pattern, CuKα. Input: the PBE geometry in OQMD.
Peak positions follow from Bragg's law for the DFT cell and can differ from measured ones.

Principal peaks in the range 2θ from 15° to 90°, sorted by position:
| 2θ (°) | I/Imax |
| --- | --- |
| 27.4 | 19 |
| 32.7 | 27 |
| 33.4 | 23 |
| 38.9 | 100 |
| 41.7 | 11 |
| 43.2 | 12 |
| 53.9 | 9 |
| 58.3 | 25 |
| 60.1 | 16 |
| 65.6 | 11 |
| 72.3 | 16 |
| 74.2 | 15 |

Crystal structure
```
data_Hf2CoN
_symmetry_space_group_name_H-M 'P 1'
_symmetry_Int_Tables_number 1
_cell_length_a 3.167
_cell_length_b 3.167
_cell_length_c 13.009
_cell_angle_alpha 90.00
_cell_angle_beta 90.00
_cell_angle_gamma 120.00
loop_
_symmetry_equiv_pos_as_xyz
'x,y,z'
loop_
_atom_site_label
_atom_site_fract_x
_atom_site_fract_y
_atom_site_fract_z
_atom_site_occupancy
Hf1 0.333 0.667 0.104 1
Hf2 0.333 0.667 0.396 1
Hf3 0.667 0.333 0.604 1
Hf4 0.667 0.333 0.896 1
Co1 0.333 0.667 0.750 1
Co2 0.667 0.333 0.250 1
N1 0.000 0.000 0.000 1
N2 0.000 0.000 0.500 1
```

=====

[6]
# Hf2Sc4Co3N3
Calculated powder X-ray diffraction pattern, CuKα. Input: the PBE geometry in OQMD.
Peak positions follow from Bragg's law for the DFT cell and can differ from measured ones.

Principal peaks in the range 2θ from 15° to 90°, sorted by position:
| 2θ (°) | I/Imax |
| --- | --- |
| 19.1 | 70 |
| 19.5 | 47 |
| 29.8 | 43 |
| 31.7 | 61 |
| 33.1 | 45 |
| 33.8 | 58 |
| 38.5 | 63 |
| 38.7 | 52 |
| 39.2 | 97 |
| 39.3 | 93 |
| 39.4 | 100 |
| 59.1 | 47 |

Crystal structure
```
data_Hf2Sc4Co3N3
_symmetry_space_group_name_H-M 'P 1'
_symmetry_Int_Tables_number 1
_cell_length_a 5.411
_cell_length_b 5.411
_cell_length_c 13.343
_cell_angle_alpha 102.11
_cell_angle_beta 102.11
_cell_angle_gamma 60.01
loop_
_symmetry_equiv_pos_as_xyz
'x,y,z'
loop_
_atom_site_label
_atom_site_fract_x
_atom_site_fract_y
_atom_site_fract_z
_atom_site_occupancy
Hf1 0.039 0.873 0.613 1
Hf2 0.127 0.961 0.887 1
Hf3 0.873 0.039 0.113 1
Hf4 0.961 0.127 0.387 1
Sc1 0.200 0.367 0.095 1
Sc2 0.301 0.466 0.405 1
Sc3 0.367 0.200 0.595 1
Sc4 0.466 0.301 0.905 1
Sc5 0.534 0.699 0.095 1
Sc6 0.633 0.800 0.405 1
Sc7 0.699 0.534 0.595 1
Sc8 0.800 0.633 0.905 1
Co1 0.084 0.399 0.749 1
Co2 0.399 0.084 0.249 1
Co3 0.427 0.573 0.250 1
Co4 0.573 0.427 0.750 1
Co5 0.601 0.916 0.751 1
Co6 0.916 0.601 0.251 1
N1 0.000 0.500 0.500 1
N2 0.155 0.691 0.000 1
N3 0.309 0.845 0.500 1
N4 0.500 0.000 0.000 1
N5 0.691 0.155 0.500 1
N6 0.845 0.309 0.000 1
```

=====

[7]
# Hf2Ta4Co3N3
Calculated powder X-ray diffraction pattern, CuKα. Input: the PBE geometry in OQMD.
Peak positions follow from Bragg's law for the DFT cell and can differ from measured ones.

Principal peaks in the range 2θ from 15° to 90°, sorted by position:
| 2θ (°) | I/Imax |
| --- | --- |
| 27.3 | 32 |
| 33.9 | 34 |
| 34.6 | 66 |
| 39.8 | 50 |
| 40.0 | 100 |
| 41.4 | 20 |
| 43.9 | 17 |
| 44.1 | 21 |
| 60.6 | 19 |
| 60.8 | 36 |
| 67.8 | 12 |
| 67.9 | 15 |

Crystal structure
```
data_Hf2Ta4Co3N3
_symmetry_space_group_name_H-M 'P 1'
_symmetry_Int_Tables_number 1
_cell_length_a 5.287
_cell_length_b 5.287
_cell_length_c 13.442
_cell_angle_alpha 101.57
_cell_angle_beta 101.57
_cell_angle_gamma 59.87
loop_
_symmetry_equiv_pos_as_xyz
'x,y,z'
loop_
_atom_site_label
_atom_site_fract_x
_atom_site_fract_y
_atom_site_fract_z
_atom_site_occupancy
Hf1 0.042 0.876 0.624 1
Hf2 0.124 0.958 0.876 1
Hf3 0.876 0.042 0.124 1
Hf4 0.958 0.124 0.376 1
Ta1 0.196 0.363 0.093 1
Ta2 0.300 0.473 0.407 1
Ta3 0.363 0.196 0.593 1
Ta4 0.473 0.300 0.907 1
Ta5 0.527 0.700 0.093 1
Ta6 0.637 0.804 0.407 1
Ta7 0.700 0.527 0.593 1
Ta8 0.804 0.637 0.907 1
Co1 0.086 0.400 0.750 1
Co2 0.400 0.086 0.250 1
Co3 0.426 0.574 0.250 1
Co4 0.574 0.426 0.750 1
Co5 0.600 0.914 0.750 1
Co6 0.914 0.600 0.250 1
N1 0.000 0.500 0.500 1
N2 0.156 0.688 0.000 1
N3 0.312 0.844 0.500 1
N4 0.500 0.000 0.000 1
N5 0.688 0.156 0.500 1
N6 0.844 0.312 0.000 1
```

=====

[8]
# Na2HfZrCo2Sn2
Calculated powder X-ray diffraction pattern, CuKα. Input: the PBE geometry in OQMD.
Peak positions follow from Bragg's law for the DFT cell and can differ from measured ones.

Principal peaks in the range 2θ from 15° to 90°, sorted by position:
| 2θ (°) | I/Imax |
| --- | --- |
| 19.3 | 3 |
| 23.7 | 4 |
| 27.5 | 31 |
| 30.8 | 2 |
| 33.8 | 1 |
| 39.2 | 100 |
| 46.3 | 2 |
| 48.5 | 9 |
| 56.7 | 17 |
| 64.1 | 13 |
| 71.1 | 34 |
| 84.3 | 11 |

Crystal structure
```
data_Na2HfZrCo2Sn2
_symmetry_space_group_name_H-M 'P 1'
_symmetry_Int_Tables_number 1
_cell_length_a 4.594
_cell_length_b 4.594
_cell_length_c 6.499
_cell_angle_alpha 90.00
_cell_angle_beta 90.00
_cell_angle_gamma 90.00
loop_
_symmetry_equiv_pos_as_xyz
'x,y,z'
loop_
_atom_site_label
_atom_site_fract_x
_atom_site_fract_y
_atom_site_fract_z
_atom_site_occupancy
Na1 0.000 0.500 0.250 1
Na2 0.500 0.000 0.750 1
Hf1 0.000 0.000 0.000 1
Zr1 0.500 0.500 0.500 1
Co1 0.000 0.500 0.753 1
Co2 0.500 0.000 0.247 1
Sn1 0.000 0.000 0.500 1
Sn2 0.500 0.500 0.000 1
```

=====

[9]
# HfNb4Co2Se12
Calculated powder X-ray diffraction pattern, CuKα. Input: the PBE geometry in OQMD.
Peak positions follow from Bragg's law for the DFT cell and can differ from measured ones.

Principal peaks in the range 2θ from 15° to 90°, sorted by position:
| 2θ (°) | I/Imax |
| --- | --- |
| 27.8 | 73 |
| 29.4 | 50 |
| 31.9 | 47 |
| 32.2 | 43 |
| 35.1 | 84 |
| 35.2 | 40 |
| 36.2 | 81 |
| 36.6 | 49 |
| 39.8 | 100 |
| 43.7 | 78 |
| 50.0 | 40 |
| 53.4 | 73 |

Crystal structure
```
data_HfNb4Co2Se12
_symmetry_space_group_name_H-M 'P 1'
_symmetry_Int_Tables_number 1
_cell_length_a 7.093
_cell_length_b 7.093
_cell_length_c 19.508
_cell_angle_alpha 108.47
_cell_angle_beta 108.47
_cell_angle_gamma 27.98
loop_
_symmetry_equiv_pos_as_xyz
'x,y,z'
loop_
_atom_site_label
_atom_site_fract_x
_atom_site_fract_y
_atom_site_fract_z
_atom_site_occupancy
Hf1 0.000 0.000 0.000 1
Nb1 0.258 0.258 0.593 1
Nb2 0.380 0.380 0.849 1
Nb3 0.620 0.620 0.151 1
Nb4 0.742 0.742 0.407 1
Co1 0.227 0.227 0.284 1
Co2 0.773 0.773 0.716 1
Se1 0.034 0.034 0.876 1
Se2 0.131 0.131 0.453 1
Se3 0.194 0.194 0.763 1
Se4 0.196 0.196 0.077 1
Se5 0.372 0.372 0.390 1
Se6 0.398 0.398 0.717 1
Se7 0.602 0.602 0.283 1
Se8 0.628 0.628 0.610 1
Se9 0.804 0.804 0.923 1
Se10 0.806 0.806 0.237 1
Se11 0.869 0.869 0.547 1
Se12 0.966 0.966 0.124 1
```

=====

[10]
# HfCoNi
Calculated powder X-ray diffraction pattern, CuKα. Input: the PBE geometry in OQMD.
Peak positions follow from Bragg's law for the DFT cell and can differ from measured ones.

Principal peaks in the range 2θ from 15° to 90°, sorted by position:
| 2θ (°) | I/Imax |
| --- | --- |
| 27.0 | 49 |
| 31.3 | 44 |
| 44.8 | 100 |
| 53.1 | 24 |
| 55.6 | 12 |
| 65.2 | 16 |
| 71.9 | 10 |
| 74.1 | 15 |
| 82.6 | 32 |
| 88.9 | 8 |

Crystal structure
```
data_HfCoNi
_symmetry_space_group_name_H-M 'P 1'
_symmetry_Int_Tables_number 1
_cell_length_a 4.046
_cell_length_b 4.046
_cell_length_c 4.046
_cell_angle_alpha 60.00
_cell_angle_beta 60.00
_cell_angle_gamma 60.00
loop_
_symmetry_equiv_pos_as_xyz
'x,y,z'
loop_
_atom_site_label
_atom_site_fract_x
_atom_site_fract_y
_atom_site_fract_z
_atom_site_occupancy
Hf1 0.000 0.000 0.000 1
Co1 0.500 0.500 0.500 1
Ni1 0.750 0.750 0.750 1
```